[1]
Computed powder XRD pattern
Compound: La2ScInS
Radiation: Cu Kα (weighted mean of Kα1 and Kα2)
Structure: the GGA-PBE geometry in Alexandria
Kinematic intensities with the Lorentz-polarization factor, no thermal factor.

Most intense lines, 2θ = 10–90°, by angle:
| (hkl) | d [Å] | 2θ (°) | Rel. int. |
| --- | --- | --- | --- |
| 1 0 1 | 3.650 | 24.39 | 11 |
| 1 1 1 | 3.047 | 29.31 | 100 |
| 2 0 0 | 2.768 | 32.35 | 53 |
| 0 0 2 | 2.427 | 37.04 | 18 |
| 2 2 0 | 1.957 | 46.40 | 19 |
| 2 0 2 | 1.825 | 49.98 | 30 |
| 3 1 1 | 1.647 | 55.83 | 32 |
| 2 2 2 | 1.523 | 60.80 | 16 |
| 1 1 3 | 1.495 | 62.07 | 12 |
| 4 2 2 | 1.103 | 88.72 | 12 |

```
data_La2ScInS
_chemical_formula_sum 'La2 Sc1 In1 S1'
_cell_length_a 5.535
_cell_length_b 5.535
_cell_length_c 4.854
_cell_angle_alpha 90.00
_cell_angle_beta 90.00
_cell_angle_gamma 90.00
_symmetry_space_group_name_H-M 'P 4/m m m'
_symmetry_Int_Tables_number 123
_symmetry_space_group_name_Hall '-P 4 2'
loop_
_atom_site_label
_atom_site_type_symbol
_atom_site_fract_x
_atom_site_fract_y
_atom_site_fract_z
La1 La 0.000 0.500 0.000
Sc1 Sc 0.000 0.000 0.500
In1 In 0.500 0.500 0.500
S1 S 0.000 0.000 0.000
```

[2]
Computed powder XRD pattern
Compound: Dy7RhSe5
Radiation: Cu Kα (weighted mean of Kα1 and Kα2)
Structure: the GGA-PBE geometry in Alexandria
Kinematic intensities with the Lorentz-polarization factor, no thermal factor.

Most intense lines, 2θ = 10–90°, by angle:
| (hkl) | d [Å] | 2θ (°) | Rel. int. |
| --- | --- | --- | --- |
| 0 2 7 | 3.093 | 28.87 | 87 |
| 1 3 1 | 2.945 | 30.35 | 41 |
| 1 3 2 | 2.883 | 31.02 | 100 |
| 1 3 3 | 2.787 | 32.12 | 69 |
| 0 2 8 | 2.776 | 32.25 | 47 |
| 1 1 9 | 2.204 | 40.95 | 45 |
| 0 6 5 | 2.039 | 44.44 | 30 |
| 1 5 5 | 2.025 | 44.76 | 33 |
| 2 0 0 | 1.977 | 45.91 | 41 |
| 2 2 7 | 1.666 | 55.13 | 36 |

```
data_Dy7RhSe5
_chemical_formula_sum 'Dy28 Rh4 Se20'
_cell_length_a 3.953
_cell_length_b 13.467
_cell_length_c 24.373
_cell_angle_alpha 90.00
_cell_angle_beta 90.00
_cell_angle_gamma 90.00
_symmetry_space_group_name_H-M 'C m c 21'
_symmetry_Int_Tables_number 36
_symmetry_space_group_name_Hall 'C 2c -2'
loop_
_atom_site_label
_atom_site_type_symbol
_atom_site_fract_x
_atom_site_fract_y
_atom_site_fract_z
Dy1 Dy 0.000 0.045 0.000
Dy2 Dy 0.000 0.139 0.713
Dy3 Dy 0.000 0.140 0.288
Dy4 Dy 0.000 0.293 0.931
Dy5 Dy 0.000 0.294 0.069
Dy6 Dy 0.000 0.409 0.631
Dy7 Dy 0.000 0.411 0.368
Rh1 Rh 0.000 0.310 0.501
Se1 Se 0.000 0.057 0.606
Se2 Se 0.000 0.058 0.394
Se3 Se 0.000 0.220 0.821
Se4 Se 0.000 0.221 0.179
Se5 Se 0.000 0.499 0.750
```

[3]
Computed powder XRD pattern
Compound: RbMgMoCl6
Radiation: Cu Kα (weighted mean of Kα1 and Kα2)
Structure: the GGA-PBE geometry in Alexandria
Kinematic intensities with the Lorentz-polarization factor, no thermal factor.

Most intense lines, 2θ = 10–90°, by angle:
| (hkl) | d [Å] | 2θ (°) | Rel. int. |
| --- | --- | --- | --- |
| 0 0 1 | 7.438 | 11.90 | 29 |
| 1 0 0 | 5.636 | 15.72 | 13 |
| 1 0 1 | 4.492 | 19.77 | 100 |
| 1 1 1 | 2.981 | 29.98 | 33 |
| 2 0 1 | 2.635 | 34.02 | 17 |
| 2 -1 2 | 2.449 | 36.70 | 65 |
| 3 -1 1 | 2.048 | 44.23 | 23 |
| 3 0 0 | 1.879 | 48.46 | 22 |
| 0 0 4 | 1.861 | 48.94 | 16 |
| 1 1 4 | 1.615 | 57.03 | 23 |

```
data_RbMgMoCl6
_chemical_formula_sum 'Rb1 Mg1 Mo1 Cl6'
_cell_length_a 6.5074
_cell_length_b 6.5074
_cell_length_c 7.4377
_cell_angle_alpha 90.00
_cell_angle_beta 90.00
_cell_angle_gamma 120.00
_symmetry_space_group_name_H-M 'P 3 1 2'
_symmetry_Int_Tables_number 149
_symmetry_space_group_name_Hall 'P 3 2'
loop_
_atom_site_label
_atom_site_type_symbol
_atom_site_fract_x
_atom_site_fract_y
_atom_site_fract_z
Rb1 Rb 0.0000 0.0000 0.0000
Mg1 Mg 0.3333 0.6667 0.5000
Mo1 Mo 0.6667 0.3333 0.5000
Cl1 Cl 0.3723 0.0070 0.6895
```

[4]
Computed powder XRD pattern
Compound: K3RbHg3
Radiation: Cu Kα (weighted mean of Kα1 and Kα2)
Structure: the GGA-PBE geometry in Alexandria
Kinematic intensities with the Lorentz-polarization factor, no thermal factor.

Most intense lines, 2θ = 10–90°, by angle:
| (hkl) | d [Å] | 2θ (°) | Rel. int. |
| --- | --- | --- | --- |
| 1 1 0 | 6.077 | 14.58 | 18 |
| 1 0 1 | 6.020 | 14.71 | 45 |
| 0 2 1 | 4.277 | 20.77 | 51 |
| 2 1 1 | 3.499 | 25.45 | 31 |
| 2 2 0 | 3.039 | 29.39 | 100 |
| 2 0 2 | 3.010 | 29.68 | 98 |
| 0 4 2 | 2.138 | 42.26 | 37 |
| 6 0 0 | 1.754 | 52.14 | 20 |
| 4 2 2 | 1.749 | 52.31 | 40 |
| 0 2 4 | 1.732 | 52.85 | 19 |

```
data_K3RbHg3
_chemical_formula_sum 'K9 Rb3 Hg9'
_cell_length_a 12.1542
_cell_length_b 12.1542
_cell_length_c 7.3387
_cell_angle_alpha 90.00
_cell_angle_beta 90.00
_cell_angle_gamma 120.00
_symmetry_space_group_name_H-M 'R 3 m'
_symmetry_Int_Tables_number 160
_symmetry_space_group_name_Hall 'R 3 -2"'
loop_
_atom_site_label
_atom_site_type_symbol
_atom_site_fract_x
_atom_site_fract_y
_atom_site_fract_z
K1 K 0.9998 0.4999 0.0000
Rb1 Rb 0.0000 0.0000 0.0010
Hg1 Hg 0.0001 0.5001 0.4999
```